BaMg2: simulated powder XRD pattern (Cu Kα X-rays), based on DFT lattice parameters and positions (PBE).

Structure:
a = 6.6660 Å, b = 6.6660 Å, c = 10.5883 Å
α = 90.00°, β = 90.00°, γ = 120.00°
Space group P6_3/mmc (No. 194)
Inequivalent atoms, fractional coordinates:
Ba 0.3333 0.6667 0.0569 x4
Mg 0.0000 0.0000 0.0000 x2
Mg 0.1614 0.3227 0.7500 x6

Main lines, by angle (10° ≤ 2θ ≤ 90°):
- 2θ = 15.3°, rel. 36
- 2θ = 16.7°, rel. 26
- 2θ = 22.8°, rel. 29
- 2θ = 26.7°, rel. 86
- 2θ = 29.7°, rel. 93
- 2θ = 31.7°, rel. 100
- 2θ = 32.1°, rel. 33
- 2θ = 49.1°, rel. 47
- 2θ = 50.5°, rel. 27
- 2θ = 53.7°, rel. 29